[1]
Structure and computed XRD peak list of RbTi2Ni2 (the GGA-PBE geometry in Alexandria; Cu Ka).
Peak positions follow from Bragg's law for the DFT cell and can differ from measured ones.

Main lines, by angle (10 to 90 degrees two-theta):
index, 2theta, Rel. int.
0 0 2, 15.15, 30
1 0 3, 30.62, 100
1 1 2, 32.59, 61
2 0 0, 41.01, 53
2 1 3, 52.04, 49
1 1 6, 55.63, 41

Structural model:
```
data_RbTi2Ni2
_space_group_name_H-M_alt 'I 4/m m m'
_space_group_IT_number 139
_space_group_name_Hall '-I 4 2'
_cell_length_a 4.401
_cell_length_b 4.401
_cell_length_c 11.696
_cell_angle_alpha 90.00
_cell_angle_beta 90.00
_cell_angle_gamma 90.00
loop_
_atom_site_label
_atom_site_fract_x
_atom_site_fract_y
_atom_site_fract_z
Rb1 0.000 0.000 0.000
Ti1 0.000 0.000 0.334
Ni1 0.000 0.500 0.250
```

[2]
Structure and computed XRD peak list of RbNiW2 (the GGA-PBE geometry in Alexandria; Cu Ka).
Peak positions follow from Bragg's law for the DFT cell and can differ from measured ones.

Main lines, by angle (10 to 90 degrees two-theta):
index, 2theta, Rel. int.
1 0 1, 18.54, 100
1 0 3, 23.64, 79
2 0 2, 37.60, 81
2 1 1, 40.86, 52
0 0 8, 41.93, 41
2 2 4, 56.46, 54

Structural model:
```
data_RbNiW2
_space_group_name_H-M_alt 'I -4 2 d'
_space_group_IT_number 122
_space_group_name_Hall 'I -4 2bw'
_cell_length_a 4.980
_cell_length_b 4.980
_cell_length_c 17.235
_cell_angle_alpha 90.00
_cell_angle_beta 90.00
_cell_angle_gamma 90.00
loop_
_atom_site_label
_atom_site_fract_x
_atom_site_fract_y
_atom_site_fract_z
Rb1 0.000 0.000 0.000
Ni1 0.000 0.000 0.500
W1 0.010 0.750 0.625
```

[3]
Structure and computed XRD peak list of ReNi (the GGA-PBE geometry in Alexandria; Cu Ka).
Peak positions follow from Bragg's law for the DFT cell and can differ from measured ones.

Main lines, by angle (10 to 90 degrees two-theta):
index, 2theta, Rel. int.
1 0 1, 25.64, 23
0 1 1, 26.95, 30
1 0 2, 39.35, 24
0 2 0, 42.58, 39
2 1 0, 44.68, 50
1 1 2, 44.97, 100

Structural model:
```
data_ReNi
_space_group_name_H-M_alt 'P n m a'
_space_group_IT_number 62
_space_group_name_Hall '-P 2ac 2n'
_cell_length_a 4.617
_cell_length_b 4.247
_cell_length_c 5.274
_cell_angle_alpha 90.00
_cell_angle_beta 90.00
_cell_angle_gamma 90.00
loop_
_atom_site_label
_atom_site_fract_x
_atom_site_fract_y
_atom_site_fract_z
Re1 0.085 0.250 0.125
Ni1 0.075 0.250 0.621
```

[4]
Structure and computed XRD peak list of ReNi3 (the GGA-PBE geometry in Alexandria; Cu Ka).
Peak positions follow from Bragg's law for the DFT cell and can differ from measured ones.

Main lines, by angle (10 to 90 degrees two-theta):
index, 2theta, Rel. int.
0 0 1, 12.44, 42
1 0 1, 36.93, 17
1 0 2, 43.20, 100
1 1 0, 49.78, 33
1 1 4, 74.33, 19
2 1 2, 88.83, 24

Structural model:
```
data_ReNi3
_space_group_name_H-M_alt 'P 4/m m m'
_space_group_IT_number 123
_space_group_name_Hall '-P 4 2'
_cell_length_a 2.590
_cell_length_b 2.590
_cell_length_c 7.115
_cell_angle_alpha 90.00
_cell_angle_beta 90.00
_cell_angle_gamma 90.00
loop_
_atom_site_label
_atom_site_fract_x
_atom_site_fract_y
_atom_site_fract_z
Re1 0.000 0.000 0.000
Ni1 0.000 0.000 0.500
Ni2 0.500 0.500 0.260
```